Entry 1:
This entry pairs a crystal structure of TbScS3 with its computed powder X-ray diffraction pattern. Radiation: Cu Kα, 1.54184 Å. Structure: a structure optimized by DFT (GGA-PBE).

Structural model:
Cell: 7.047 9.556 6.411 Å, 90.00 90.00 90.00°
Space group Pnma (No. 62)
Symmetry-distinct sites (fractional):
1 Tb 0.101 0.250 0.041 x4
2 Sc 0.000 0.000 0.500 x4
3 S 0.047 0.750 0.357 x4
4 S 0.187 0.570 0.825 x8

Top 10 peaks for 15° ≤ 2θ ≤ 90°, sorted by position:
hkl 0 2 0, 18.57 deg, intensity 30
hkl 1 1 1, 20.91 deg, intensity 63
hkl 1 2 1, 26.48 deg, intensity 100
hkl 2 1 0, 26.97 deg, intensity 29
hkl 1 1 2, 32.07 deg, intensity 33
hkl 1 3 1, 33.90 deg, intensity 41
hkl 2 3 0, 38.08 deg, intensity 31
hkl 2 1 2, 39.14 deg, intensity 39
hkl 3 1 1, 42.03 deg, intensity 48
hkl 1 2 3, 48.42 deg, intensity 30


Entry 2:
This entry pairs a crystal structure of NaSi with its computed powder X-ray diffraction pattern. Radiation: Cu Kα, 1.54184 Å. Structure: a structure optimized by DFT (GGA-PBE).

Structural model:
Cell: 10.784 6.582 10.865 Å, 90.00 110.05 90.00°
Space group C2/c (No. 15)
Symmetry-distinct sites (fractional):
1 Na 0.117 0.232 0.113 x8
2 Na 0.171 0.414 0.405 x8
3 Si 0.067 0.298 0.672 x8
4 Si 0.105 0.048 0.841 x8

Top 10 peaks for 15° ≤ 2θ ≤ 90°, sorted by position:
hkl 1 1 -1, 16.77 deg, intensity 32
hkl 3 1 -1, 28.29 deg, intensity 32
hkl 3 1 -3, 33.22 deg, intensity 24
hkl 2 2 -2, 33.92 deg, intensity 98
hkl 0 0 4, 35.20 deg, intensity 100
hkl 4 0 0, 35.44 deg, intensity 41
hkl 2 2 -3, 37.97 deg, intensity 42
hkl 3 1 2, 39.16 deg, intensity 28
hkl 2 2 2, 39.94 deg, intensity 75
hkl 4 4 -1, 66.68 deg, intensity 22


Entry 3:
This entry pairs a crystal structure of Li2In2GeS6 with its computed powder X-ray diffraction pattern. Radiation: Cu Kα, 1.54184 Å. Structure: a structure optimized by DFT (GGA-PBE).

Structural model:
Cell: 12.388 7.223 12.336 Å, 90.00 110.13 90.00°
Space group Cc (No. 9)
Symmetry-distinct sites (fractional):
1 Li 0.000 0.101 0.000 x4
2 Li 0.293 0.202 0.844 x4
3 In 0.156 0.426 0.497 x4
4 In 0.479 0.093 0.191 x4
5 Ge 0.226 0.266 0.252 x4
6 S 0.036 0.255 0.195 x4
7 S 0.104 0.279 0.882 x4
8 S 0.276 0.015 0.175 x4
9 S 0.296 0.481 0.700 x4
10 S 0.301 0.239 0.443 x4
11 S 0.485 0.246 0.012 x4

Top 10 peaks for 15° ≤ 2θ ≤ 90°, sorted by position:
hkl 0 0 2, 15.27 deg, intensity 48
hkl 1 1 1, 17.54 deg, intensity 100
hkl 3 1 -1, 24.87 deg, intensity 51
hkl 0 2 1, 25.84 deg, intensity 43
hkl 3 1 -2, 25.95 deg, intensity 63
hkl 4 0 -2, 29.24 deg, intensity 52
hkl 2 2 -2, 30.39 deg, intensity 48
hkl 0 0 4, 30.88 deg, intensity 51
hkl 1 1 -4, 31.68 deg, intensity 42
hkl 1 3 -3, 43.54 deg, intensity 47